1.
This entry pairs a crystal structure of UVO5 with its theoretical X-ray diffraction stick pattern. Radiation: Cu Ka. Structure: the GGA+U geometry in Alexandria.

Most intense lines, 2θ = 10–90°, in order of rising 2θ:
2θ/deg  Rel. int.  hkl
17.8  30.0  0 2 0
18.0  39.6  1 0 0
20.1  12.9  1 1 -1
25.3  23.7  0 0 2
25.4  100.0  1 2 0
31.1  35.2  0 2 2
31.3  28.9  1 2 -2
36.1  16.3  1 0 2
40.5  13.7  1 2 2
44.6  14.2  1 4 1

Cell and atoms:
```
data_UVO5
_chemical_formula_sum 'U4 V4 O20'
_symmetry_space_group_name_H-M 'P 1 21/c 1'
_symmetry_Int_Tables_number 14
_cell_length_a 5.2546
_cell_length_b 9.9604
_cell_length_c 7.5122
_cell_angle_alpha 90.00
_cell_angle_beta 110.20
_cell_angle_gamma 90.00
loop_
_symmetry_equiv_pos_as_xyz
'x,y,z'
'-x,-y,-z'
'-x,y+1/2,-z+1/2'
'x,-y+1/2,z+1/2'
loop_
_atom_site_label
_atom_site_type_symbol
_atom_site_fract_x
_atom_site_fract_y
_atom_site_fract_z
U1 U 0.0405 0.0291 0.2508
V1 V 0.3799 0.2434 0.5937
O1 O 0.1354 0.1093 0.5664
O2 O 0.1607 0.1014 0.0002
O3 O 0.2689 0.6434 0.3337
O4 O 0.3290 0.5938 0.8121
O5 O 0.3545 0.2007 0.3360
```



2.
This entry pairs a crystal structure of Mn2V3SnO8 with its theoretical X-ray diffraction stick pattern. Radiation: Cu Ka. Structure: the GGA+U geometry in Alexandria.

Most intense lines, 2θ = 10–90°, in order of rising 2θ:
2θ/deg  Rel. int.  hkl
28.3  44.8  1 0 4
28.8  47.9  1 1 0
33.2  49.2  0 1 5
33.6  100.0  1 1 3
33.8  41.8  0 2 1
53.4  17.9  0 2 7
53.8  31.2  1 2 5
54.1  25.2  0 3 3
58.5  38.6  2 0 8
59.5  38.2  2 2 0

Cell and atoms:
```
data_Mn2V3SnO8
_chemical_formula_sum 'Mn6 V9 Sn3 O24'
_symmetry_space_group_name_H-M 'R 3 m'
_symmetry_Int_Tables_number 160
_symmetry_space_group_name_Hall 'R 3 -2"'
_cell_length_a 6.2100
_cell_length_b 6.2100
_cell_length_c 15.6028
_cell_angle_alpha 90.00
_cell_angle_beta 90.00
_cell_angle_gamma 120.00
loop_
_atom_site_label
_atom_site_type_symbol
_atom_site_fract_x
_atom_site_fract_y
_atom_site_fract_z
Mn1 Mn 0.0000 0.0000 0.0000
Mn2 Mn 0.0000 0.0000 0.3749
V1 V 0.0060 0.5030 0.8768
Sn1 Sn 0.0000 0.0000 0.7515
O1 O 0.0000 0.0000 0.1360
O2 O 0.0000 0.0000 0.6105
O3 O 0.0334 0.5167 0.1374
O4 O 0.1805 0.3610 0.9478
```